(1)
Structure and simulated powder diffractogram of Zn3Mo2O9 (the PBE+U geometry in Alexandria; Cu Kα (weighted mean of Kα1 and Kα2)).

Atomic structure:
```
28
Lattice="7.9449 0.0000 0.0000 0.0000 7.2063 0.0000 -3.9482 0.0000 7.6057" Properties=species:S:1:pos:R:3 pbc="T T T"
Zn 0.0000 0.0000 0.0000
Zn 0.0000 3.6032 0.0000
Zn -2.1291 1.8016 5.8476
Zn 1.9668 1.8016 1.5933
Zn 2.0299 5.4047 6.0124
Zn 6.1258 5.4047 1.7581
Mo -1.5280 5.4047 5.4437
Mo 2.4112 5.4047 2.2663
Mo 1.5856 1.8016 5.3394
Mo 5.5247 1.8016 2.1620
O -1.2910 5.4047 3.6772
O -2.4645 3.9473 5.9621
O -2.4645 6.8621 5.9621
O -3.1355 1.8016 7.5712
O 1.6209 3.9490 1.5408
O 1.6209 6.8605 1.5408
O -0.1610 1.8016 5.7129
O 0.0667 5.4047 6.2523
O 1.7873 1.8016 3.5679
O 2.2094 5.4047 4.0378
O 3.9301 1.8016 1.3534
O 4.1578 5.4047 1.8928
O 2.3758 0.3458 6.0649
O 2.3758 3.2573 6.0649
O 7.1323 5.4047 0.0345
O 6.4612 0.3442 1.6436
O 6.4612 3.2590 1.6436
O 5.2877 1.8016 3.9285
```

Top 10 peaks for 10 to 90 degrees two-theta, in order of rising 2θ:
| 2theta | intensity |
| --- | --- |
| 20.8 | 700 |
| 22.4 | 990 |
| 23.4 | 939 |
| 24.2 | 590 |
| 24.7 | 1000 |
| 27.8 | 573 |
| 32.5 | 603 |
| 32.7 | 625 |
| 33.6 | 959 |
| 34.3 | 929 |

(2)
Structure and simulated powder diffractogram of Zn6MoO6 (the PBE+U geometry in Alexandria; Cu Kα (weighted mean of Kα1 and Kα2)).

Atomic structure:
```
13
Lattice="5.7469 0.0000 0.0000 0.0000 5.7469 0.0000 0.0000 0.0000 5.7469" Properties=species:S:1:pos:R:3 pbc="T T T"
Zn 0.0000 1.4429 2.8734
Zn 0.0000 4.3040 2.8734
Zn 1.4429 2.8734 0.0000
Zn 2.8734 0.0000 1.4429
Zn 2.8734 0.0000 4.3040
Zn 4.3040 2.8734 0.0000
Mo 0.0000 0.0000 0.0000
O 0.0000 2.8734 1.4403
O 0.0000 2.8734 4.3066
O 1.4403 0.0000 2.8734
O 2.8734 1.4403 0.0000
O 2.8734 4.3066 0.0000
O 4.3066 0.0000 2.8734
```

Top 10 peaks for 10 to 90 degrees two-theta, in order of rising 2θ:
| 2theta | intensity |
| --- | --- |
| 15.4 | 311 |
| 21.9 | 188 |
| 31.1 | 450 |
| 34.9 | 1000 |
| 38.4 | 997 |
| 55.4 | 253 |
| 57.9 | 242 |
| 60.3 | 483 |
| 64.9 | 242 |
| 75.9 | 214 |

(3)
Structure and simulated powder diffractogram of Zn3Mo2O7 (the PBE+U geometry in Alexandria; Cu Kα (weighted mean of Kα1 and Kα2)).

Atomic structure:
```
24
Lattice="9.6407 -2.6730 0.0000 9.6407 2.6730 0.0000 0.0000 0.0000 5.3177" Properties=species:S:1:pos:R:3 pbc="T T T"
Zn 5.6838 1.1580 2.4457
Zn 9.6407 1.4307 2.6589
Zn 13.5977 1.1580 2.4457
Zn 5.6838 -1.1580 5.1046
Zn 9.6407 -1.4307 0.0000
Zn 13.5977 -1.1580 5.1046
Mo 7.6472 1.3448 5.2220
Mo 11.6343 1.3448 5.2220
Mo 7.6472 -1.3448 2.5632
Mo 11.6343 -1.3448 2.5632
O 2.5837 0.4702 0.8391
O 9.6407 1.9682 4.6705
O 5.6878 0.7528 0.4455
O 2.5837 -0.4702 3.4979
O 8.1974 0.4581 1.6307
O 5.6878 -0.7528 3.1043
O 11.0841 0.4581 1.6307
O 8.1974 -0.4581 4.2895
O 13.5937 0.7528 0.4455
O 11.0841 -0.4581 4.2895
O 16.6978 0.4702 0.8391
O 13.5937 -0.7528 3.1043
O 9.6407 -1.9682 2.0116
O 16.6978 -0.4702 3.4979
```

Top 10 peaks for 10 to 90 degrees two-theta, in order of rising 2θ:
| 2theta | intensity |
| --- | --- |
| 33.2 | 1000 |
| 33.5 | 259 |
| 33.7 | 261 |
| 47.1 | 126 |
| 48.3 | 215 |
| 59.1 | 108 |
| 59.2 | 115 |
| 59.8 | 218 |
| 60.0 | 227 |
| 69.8 | 116 |

(4)
Structure and simulated powder diffractogram of ZnMo3O14 (the PBE+U geometry in Alexandria; Cu Kα (weighted mean of Kα1 and Kα2)).

Atomic structure:
```
18
Lattice="-1.8715 4.5866 9.1514 1.8715 -4.5866 9.1514 1.8715 4.5866 -9.1514" Properties=species:S:1:pos:R:3 pbc="T T T"
Zn 0.0000 0.0000 0.0000
Mo 1.8715 -1.8112 6.6767
Mo 0.0000 0.0000 9.2103
Mo 1.8715 1.8112 6.6767
O 1.8715 0.0000 0.7219
O 1.8715 -3.0017 8.0439
O 1.8715 3.9762 -5.7920
O 1.8715 3.1968 -2.0561
O 0.0000 0.6104 3.3594
O 1.8715 0.0000 5.8742
O 1.8715 3.2264 1.1031
O 1.8715 0.0000 8.5451
O 0.0000 1.3898 7.0953
O 1.8715 2.7818 5.2576
O 0.0000 1.3602 10.2545
O 1.8715 3.0017 8.0439
O 0.0000 4.5866 4.9867
O 0.0000 1.8048 14.4089
```

Top 10 peaks for 10 to 90 degrees two-theta, in order of rising 2θ:
| 2theta | intensity |
| --- | --- |
| 10.8 | 525 |
| 21.7 | 636 |
| 24.3 | 263 |
| 27.5 | 1000 |
| 28.0 | 417 |
| 31.2 | 297 |
| 32.4 | 257 |
| 39.3 | 252 |
| 48.7 | 411 |
| 56.8 | 261 |

(5)
Structure and simulated powder diffractogram of ZnMo6O16 (the PBE+U geometry in Alexandria; Cu Kα (weighted mean of Kα1 and Kα2)).

Atomic structure:
```
23
Lattice="6.1819 0.0000 0.0000 -3.0910 5.3537 0.0000 0.0000 0.0000 9.7480" Properties=species:S:1:pos:R:3 pbc="T T T"
Zn 0.0000 0.0000 0.0000
Mo 0.0000 1.7920 2.7460
Mo -1.5390 4.4577 2.7460
Mo 3.0910 0.0250 7.7286
Mo 1.5671 2.6644 7.7286
Mo 1.5390 4.4577 2.7460
Mo 4.6148 2.6644 7.7286
O 0.0000 0.0000 3.8106
O -1.3914 2.7658 3.7070
O 0.0000 1.8780 8.7565
O -1.4646 4.4147 8.7565
O 1.3023 0.7519 1.6110
O 0.0000 3.5691 1.6449
O 0.0000 3.5691 6.7398
O 1.7540 1.0126 6.7206
O 1.3914 2.7658 3.7070
O 0.0000 5.1758 3.7070
O 1.4646 4.4147 8.7565
O 3.0910 1.7846 8.8558
O 4.4280 1.0126 6.7206
O 3.0910 3.3284 6.7206
O 4.8796 0.7519 1.6110
O 3.0910 3.8499 1.6110
```

Top 10 peaks for 10 to 90 degrees two-theta, in order of rising 2θ:
| 2theta | intensity |
| --- | --- |
| 18.2 | 1000 |
| 18.9 | 595 |
| 24.7 | 177 |
| 34.4 | 237 |
| 34.8 | 633 |
| 38.4 | 272 |
| 43.8 | 481 |
| 58.6 | 301 |
| 59.8 | 236 |
| 63.1 | 179 |